Record 1
Diffraction record for Pm3B2C4. The XRD peak list is theoretical, not measured: it uses DFT lattice parameters and positions (PBE) and Cu Kα.
Lines closer than 0.1° are merged.

Most intense lines, 2θ = 10–90°, by intensity:
- hkl 1 1 2, 2.824 Å, rel. 100
- hkl 0 1 3, 3.270 Å, rel. 74
- hkl 1 2 1, 2.371 Å, rel. 34
- hkl 0 2 0, 3.156 Å, rel. 33
- hkl 1 2 5, 1.666 Å, rel. 26
- hkl 2 1 3, 1.637 Å, rel. 24
- hkl 1 0 5, 1.962 Å, rel. 24
- hkl 1 3 2, 1.751 Å, rel. 23
- hkl 1 0 1, 3.593 Å, rel. 23
- hkl 0 3 3, 1.843 Å, rel. 16
- hkl 2 0 0, 1.892 Å, rel. 13
- hkl 1 4 5, 1.230 Å, rel. 11

Cell and atoms:
Unit cell a=3.783 b=6.312 c=11.470 alpha=90.00 beta=90.00 gamma=90.00
Space group Immm (No. 71)
Unique sites:
Pm 0.000 0.000 0.000 (multiplicity 2)
Pm 0.000 0.500 0.197 (multiplicity 4)
B 0.000 0.205 0.500 (multiplicity 4)
C 0.000 0.259 0.377 (multiplicity 8)


Record 2
Diffraction record for HoTh2Fe9. The XRD peak list is theoretical, not measured: it uses DFT lattice parameters and positions (PBE) and Cu Kα.
Lines closer than 0.1° are merged.

Most intense lines, 2θ = 10–90°, by intensity:
- hkl 1 1 6, 2.176 Å, rel. 100
- hkl 1 1 0, 2.561 Å, rel. 73
- hkl 1 0 7, 2.765 Å, rel. 73
- hkl 0 1 8, 2.538 Å, rel. 49
- hkl 0 2 1, 2.209 Å, rel. 44
- hkl 1 0 1, 4.366 Å, rel. 29
- hkl 2 1 7, 1.515 Å, rel. 24
- hkl 0 3 6, 1.392 Å, rel. 23
- hkl 2 2 0, 1.281 Å, rel. 23
- hkl 1 2 8, 1.474 Å, rel. 19
- hkl 0 1 11, 2.007 Å, rel. 18
- hkl 2 0 14, 1.383 Å, rel. 18

Cell and atoms:
Unit cell a=5.1221 b=5.1221 c=24.7538 alpha=90.00 beta=90.00 gamma=120.00
Space group R-3m (No. 166, hexagonal axes)
Unique sites:
Ho 0.0000 0.0000 0.0000 (multiplicity 3)
Th 0.0000 0.0000 0.1403 (multiplicity 6)
Fe 0.0000 0.0000 0.3327 (multiplicity 6)
Fe 0.0000 0.0000 0.5000 (multiplicity 3)
Fe 0.0018 0.5009 0.0802 (multiplicity 18)


Please write out number 2 again, unchanged.
Diffraction record for HoTh2Fe9. The XRD peak list is theoretical, not measured: it uses DFT lattice parameters and positions (PBE) and Cu Kα.
Lines closer than 0.1° are merged.

Most intense lines, 2θ = 10–90°, by intensity:
- hkl 1 1 6, 2.176 Å, rel. 100
- hkl 1 1 0, 2.561 Å, rel. 73
- hkl 1 0 7, 2.765 Å, rel. 73
- hkl 0 1 8, 2.538 Å, rel. 49
- hkl 0 2 1, 2.209 Å, rel. 44
- hkl 1 0 1, 4.366 Å, rel. 29
- hkl 2 1 7, 1.515 Å, rel. 24
- hkl 0 3 6, 1.392 Å, rel. 23
- hkl 2 2 0, 1.281 Å, rel. 23
- hkl 1 2 8, 1.474 Å, rel. 19
- hkl 0 1 11, 2.007 Å, rel. 18
- hkl 2 0 14, 1.383 Å, rel. 18

Cell and atoms:
Unit cell a=5.1221 b=5.1221 c=24.7538 alpha=90.00 beta=90.00 gamma=120.00
Space group R-3m (No. 166, hexagonal axes)
Unique sites:
Ho 0.0000 0.0000 0.0000 (multiplicity 3)
Th 0.0000 0.0000 0.1403 (multiplicity 6)
Fe 0.0000 0.0000 0.3327 (multiplicity 6)
Fe 0.0000 0.0000 0.5000 (multiplicity 3)
Fe 0.0018 0.5009 0.0802 (multiplicity 18)